[1]
Theoretical X-ray powder pattern of CaGd2O4 for a wavelength of 1.5418 Å, from a crystal structure in the Materials Project, relaxed with PBE.
Intensities are scaled so that the largest is 100.

Crystal structure
```
CaGd2O4
1.0
0.0000 4.8948 4.8948
4.8948 0.0000 4.8948
4.8948 4.8948 0.0000
Ca Gd O
2 4 8
direct
0.1250 0.1250 0.1250
0.8750 0.8750 0.8750
0.0000 0.5000 0.5000
0.5000 0.0000 0.5000
0.5000 0.5000 0.0000
0.5000 0.5000 0.5000
0.2619 0.2619 0.2619
0.2619 0.2619 0.7143
0.2619 0.7143 0.2619
0.2857 0.7381 0.7381
0.7143 0.2619 0.2619
0.7381 0.2857 0.7381
0.7381 0.7381 0.2857
0.7381 0.7381 0.7381
```

The 10 most intense peaks (2θ = 15–90°), by angle:
15.7 deg, intensity 84; 30.3 deg, intensity 100; 31.7 deg, intensity 53; 36.7 deg, intensity 49; 40.2 deg, intensity 18; 48.3 deg, intensity 40; 52.9 deg, intensity 51; 55.5 deg, intensity 19; 63.0 deg, intensity 26; 74.4 deg, intensity 21



[2]
Theoretical X-ray powder pattern of Al4VNi15 for a wavelength of 1.5418 Å, from a crystal structure in the Materials Project, relaxed with PBE.
Intensities are scaled so that the largest is 100.

Crystal structure
```
Al4VNi15
1.0
3.5421 0.0000 0.0000
0.0000 3.5421 0.0000
0.0000 0.0000 17.9634
Al V Ni
4 1 15
direct
0.0000 0.0000 0.1001
0.0000 0.0000 0.2981
0.0000 0.0000 0.7019
0.0000 0.0000 0.8999
0.0000 0.0000 0.5000
0.0000 0.5000 0.0000
0.0000 0.5000 0.2001
0.0000 0.5000 0.4029
0.0000 0.5000 0.5971
0.0000 0.5000 0.7999
0.5000 0.0000 0.0000
0.5000 0.0000 0.2001
0.5000 0.0000 0.4029
0.5000 0.0000 0.5971
0.5000 0.0000 0.7999
0.5000 0.5000 0.1007
0.5000 0.5000 0.3006
0.5000 0.5000 0.5000
0.5000 0.5000 0.6994
0.5000 0.5000 0.8993
```

The 10 most intense peaks (2θ = 15–90°), by angle:
24.8 deg, intensity 3; 25.1 deg, intensity 5; 35.6 deg, intensity 4; 35.9 deg, intensity 2; 44.1 deg, intensity 100; 50.8 deg, intensity 16; 51.6 deg, intensity 31; 64.3 deg, intensity 1; 75.4 deg, intensity 18; 76.0 deg, intensity 9



[3]
Theoretical X-ray powder pattern of ScB2 for a wavelength of 1.5418 Å, from a crystal structure in the Materials Project, relaxed with PBE.
Intensities are scaled so that the largest is 100.

Crystal structure
```
ScB2
1.0
0.0000 3.0630 3.0630
3.0630 0.0000 3.0630
3.0630 3.0630 0.0000
Sc B
2 4
direct
0.1250 0.1250 0.1250
0.8750 0.8750 0.8750
0.0000 0.5000 0.5000
0.5000 0.0000 0.5000
0.5000 0.5000 0.0000
0.5000 0.5000 0.5000
```

The 8 most intense peaks (2θ = 15–90°), by angle:
25.2 deg, intensity 72; 41.7 deg, intensity 100; 49.3 deg, intensity 88; 51.7 deg, intensity 3; 60.4 deg, intensity 7; 66.5 deg, intensity 13; 76.1 deg, intensity 28; 81.7 deg, intensity 24



[4]
Theoretical X-ray powder pattern of CeB4Rh4 for a wavelength of 1.5418 Å, from a crystal structure in the Materials Project, relaxed with PBE.
Intensities are scaled so that the largest is 100.

Crystal structure
```
CeB4Rh4
1.0
5.3517 0.0000 0.0000
0.0000 5.3517 0.0000
0.0000 0.0000 7.5075
Ce B Rh
2 8 8
direct
0.2500 0.7500 0.2500
0.7500 0.2500 0.7500
0.0827 0.2500 0.0988
0.2500 0.0827 0.5988
0.2500 0.4173 0.5988
0.4173 0.2500 0.0988
0.5827 0.7500 0.9012
0.7500 0.5827 0.4012
0.7500 0.9173 0.4012
0.9173 0.7500 0.9012
0.0011 0.2500 0.3949
0.2500 0.0011 0.8949
0.2500 0.4989 0.8949
0.4989 0.2500 0.3949
0.5011 0.7500 0.6051
0.7500 0.5011 0.1051
0.7500 0.9989 0.1051
0.9989 0.7500 0.6051
```

The 10 most intense peaks (2θ = 15–90°), by angle:
29.1 deg, intensity 49; 33.6 deg, intensity 21; 35.6 deg, intensity 85; 39.5 deg, intensity 100; 39.8 deg, intensity 73; 44.9 deg, intensity 37; 54.3 deg, intensity 21; 63.9 deg, intensity 21; 64.1 deg, intensity 20; 70.7 deg, intensity 30